Starting from a structure optimized by DFT (GGA-PBE), the XRD peak list of Ac5Mg4Al4 was computed for Cu Kα X-rays.
No peak broadening, texture or thermal motion is included.

Cell and atoms:
Cell lengths 9.349, 9.349, 9.349 Å; angles 93.77, 93.77, 150.27 degrees
Fractional positions:
Ac  0.000  0.000  0.000
Ac  0.294  0.366  0.659
Ac  0.366  0.706  0.072
Ac  0.634  0.294  0.928
Ac  0.706  0.634  0.341
Mg  0.103  0.574  0.677
Mg  0.426  0.103  0.529
Mg  0.574  0.897  0.471
Mg  0.897  0.426  0.323
Al  0.052  0.262  0.315
Al  0.262  0.948  0.210
Al  0.738  0.052  0.790
Al  0.948  0.738  0.685

Peak list (10 most intense, 5 to 70 degrees two-theta, by angle)
| 2θ (°) | Rel. int. |
| --- | --- |
| 9.79 | 52.3 |
| 22.00 | 34.1 |
| 24.23 | 84.9 |
| 28.02 | 100.0 |
| 29.66 | 30.3 |
| 31.35 | 98.2 |
| 35.83 | 31.8 |
| 37.50 | 23.9 |
| 47.23 | 26.9 |
| 49.47 | 32.5 |